1.
# Li2SO5
Simulated X-ray diffraction stick pattern, Cu Kα X-rays. Input: DFT lattice parameters and positions (GGA-PBE).
Neutral-atom scattering factors, no anomalous dispersion.

```
Li2SO5
1.0
5.2030 0.0000 0.0000
0.0000 5.0598 0.0000
-1.5969 0.0000 7.8842
Li S O
4 2 10
direct
0.0362 0.0000 0.3781 Li
0.1915 0.5393 0.0075 Li
0.8085 0.0393 0.9925 Li
0.9638 0.5000 0.6219 Li
0.2240 0.0324 0.7790 S
0.7760 0.5324 0.2210 S
0.0923 0.1322 0.6101 O
0.1222 0.1796 0.9134 O
0.1666 0.7458 0.7940 O
0.4203 0.9502 0.3438 O
0.4860 0.5703 0.1976 O
0.5140 0.0703 0.8024 O
0.5797 0.4502 0.6562 O
0.8334 0.2458 0.2060 O
0.8778 0.6796 0.0866 O
0.9077 0.6322 0.3899 O
```

Peak list (10 most intense, 2θ = 10–90°, most intense first)
- 2θ 22.56, I = 100
- 2θ 20.86, I = 91
- 2θ 24.79, I = 63
- 2θ 18.75, I = 63
- 2θ 31.27, I = 58
- 2θ 34.76, I = 31
- 2θ 28.71, I = 30
- 2θ 35.48, I = 19
- 2θ 39.57, I = 13
- 2θ 38.60, I = 11

***

2.
# LiSO3
Simulated X-ray diffraction stick pattern, Cu Kα X-rays. Input: DFT lattice parameters and positions (GGA-PBE).
Neutral-atom scattering factors, no anomalous dispersion.

```
LiSO3
1.0
3.4877 0.0000 0.0000
-1.3794 5.6214 0.0000
-1.3598 -1.1863 6.2265
Li S O
2 2 6
direct
0.1849 0.2270 0.1933 Li
0.8151 0.7730 0.8067 Li
0.0850 0.2996 0.6914 S
0.9150 0.7004 0.3086 S
0.0789 0.1429 0.8571 O
0.2185 0.5630 0.7932 O
0.3462 0.2432 0.5445 O
0.6538 0.7568 0.4555 O
0.7815 0.4370 0.2068 O
0.9211 0.8571 0.1429 O
```

Peak list (10 most intense, 2θ = 10–90°, most intense first)
- 2θ 23.45, I = 100
- 2θ 19.39, I = 83
- 2θ 32.90, I = 74
- 2θ 27.19, I = 66
- 2θ 30.20, I = 57
- 2θ 29.33, I = 50
- 2θ 33.92, I = 50
- 2θ 27.57, I = 42
- 2θ 32.43, I = 42
- 2θ 28.67, I = 39

***

3.
# LiSO4
Simulated X-ray diffraction stick pattern, Cu Kα X-rays. Input: DFT lattice parameters and positions (GGA-PBE).
Neutral-atom scattering factors, no anomalous dispersion.

```
LiSO4
1.0
5.3600 0.0000 0.0000
-2.6800 4.6419 0.0000
0.0000 0.0000 9.0246
Li S O
2 2 8
direct
0.3333 0.6667 0.0000 Li
0.6667 0.3333 0.5000 Li
0.3333 0.6667 0.6195 S
0.6667 0.3333 0.1195 S
0.0509 0.6179 0.5677 O
0.3333 0.6667 0.7841 O
0.3821 0.4330 0.5677 O
0.4330 0.0509 0.0677 O
0.5670 0.9491 0.5677 O
0.6179 0.5670 0.0677 O
0.6667 0.3333 0.2841 O
0.9491 0.3821 0.0677 O
```

Peak list (10 most intense, 2θ = 10–90°, most intense first)
- 2θ 21.53, I = 100
- 2θ 19.12, I = 54
- 2θ 19.67, I = 52
- 2θ 34.92, I = 13
- 2θ 27.57, I = 13
- 2θ 33.44, I = 10
- 2θ 40.12, I = 9
- 2θ 53.18, I = 8
- 2θ 39.96, I = 7
- 2θ 35.56, I = 6

***

4.
# LiScSO
Simulated X-ray diffraction stick pattern, Cu Kα X-rays. Input: DFT lattice parameters and positions (GGA-PBE).
Neutral-atom scattering factors, no anomalous dispersion.

```
LiScSO
1.0
1.7278 0.9975 11.7237
-1.7278 0.9975 11.7237
0.0000 -1.9951 11.7237
Li Sc S O
2 2 2 2
direct
0.2459 0.2459 0.2459 Li
0.7541 0.7541 0.7541 Li
0.0000 0.0000 0.0000 Sc
0.5000 0.5000 0.5000 Sc
0.3774 0.3774 0.3774 S
0.6226 0.6226 0.6226 S
0.1948 0.1948 0.1948 O
0.8052 0.8052 0.8052 O
```

Peak list (10 most intense, 2θ = 10–90°, most intense first)
- 2θ 15.11, I = 100
- 2θ 36.31, I = 68
- 2θ 53.00, I = 44
- 2θ 51.59, I = 43
- 2θ 39.54, I = 42
- 2θ 32.51, I = 38
- 2θ 30.30, I = 19
- 2θ 34.90, I = 18
- 2θ 55.44, I = 15
- 2θ 87.25, I = 14

***

5.
# LiSmS2O8
Simulated X-ray diffraction stick pattern, Cu Kα X-rays. Input: DFT lattice parameters and positions (GGA-PBE).
Neutral-atom scattering factors, no anomalous dispersion.

```
LiSmS2O8
1.0
7.6786 0.0000 0.0000
0.0000 7.6786 0.0000
0.0000 0.0000 6.1163
Li Sm S O
2 2 4 16
direct
0.0000 0.5000 0.2500 Li
0.5000 0.0000 0.7500 Li
0.0000 0.5000 0.7500 Sm
0.5000 0.0000 0.2500 Sm
0.2216 0.2784 0.2500 S
0.2784 0.7784 0.7500 S
0.7216 0.2216 0.7500 S
0.7784 0.7216 0.2500 S
0.0964 0.3248 0.4319 O
0.0963 0.7983 0.8251 O
0.1752 0.4036 0.0681 O
0.2017 0.0963 0.1749 O
0.2983 0.5963 0.6749 O
0.3248 0.9036 0.5681 O
0.4037 0.2983 0.3251 O
0.4036 0.8248 0.9319 O
0.5964 0.1752 0.9319 O
0.5963 0.7017 0.3251 O
0.6752 0.0964 0.5681 O
0.7017 0.4037 0.6749 O
0.7983 0.9037 0.1749 O
0.8248 0.5964 0.0681 O
0.9037 0.2017 0.8251 O
0.9036 0.6752 0.4319 O
```

Peak list (10 most intense, 2θ = 10–90°, most intense first)
- 2θ 16.33, I = 100
- 2θ 18.55, I = 89
- 2θ 29.84, I = 62
- 2θ 21.89, I = 52
- 2θ 38.11, I = 39
- 2θ 47.83, I = 29
- 2θ 44.63, I = 24
- 2θ 29.20, I = 21
- 2θ 33.64, I = 21
- 2θ 32.99, I = 21

***

6.
# LiSn2S3O12
Simulated X-ray diffraction stick pattern, Cu Kα X-rays. Input: DFT lattice parameters and positions (GGA-PBE).
Neutral-atom scattering factors, no anomalous dispersion.

```
LiSn2S3O12
1.0
4.6544 2.6872 6.6411
-4.6544 2.6872 6.6411
0.0000 -5.3744 6.6411
Li Sn S O
2 4 6 24
direct
0.0000 0.0000 0.0000 Li
0.5000 0.5000 0.5000 Li
0.1643 0.1643 0.1643 Sn
0.3357 0.3357 0.3357 Sn
0.6643 0.6643 0.6643 Sn
0.8357 0.8357 0.8357 Sn
0.0939 0.7500 0.4061 S
0.2500 0.5939 0.9061 S
0.4061 0.0939 0.7500 S
0.5939 0.9061 0.2500 S
0.7500 0.4061 0.0939 S
0.9061 0.2500 0.5939 S
0.0554 0.3103 0.5705 O
0.0705 0.8103 0.5554 O
0.0992 0.7659 0.8906 O
0.1094 0.9008 0.2341 O
0.1897 0.4446 0.9295 O
0.2341 0.1094 0.9008 O
0.2659 0.5992 0.3906 O
0.3103 0.5705 0.0554 O
0.3906 0.2659 0.5992 O
0.4008 0.6094 0.7341 O
0.4295 0.9446 0.6897 O
0.4446 0.9295 0.1897 O
0.5554 0.0705 0.8103 O
0.5705 0.0554 0.3103 O
0.5992 0.3906 0.2659 O
0.6094 0.7341 0.4008 O
0.6897 0.4295 0.9446 O
0.7341 0.4008 0.6094 O
0.7659 0.8906 0.0992 O
0.8103 0.5554 0.0705 O
0.8906 0.0992 0.7659 O
0.9008 0.2341 0.1094 O
0.9295 0.1897 0.4446 O
0.9446 0.6897 0.4295 O
```

Peak list (10 most intense, 2θ = 10–90°, most intense first)
- 2θ 33.14, I = 100
- 2θ 33.34, I = 95
- 2θ 19.07, I = 86
- 2θ 23.34, I = 85
- 2θ 20.97, I = 67
- 2θ 47.72, I = 55
- 2θ 59.46, I = 51
- 2θ 14.13, I = 44
- 2θ 43.32, I = 34
- 2θ 51.98, I = 24

***

7.
# SrLiSO4
Simulated X-ray diffraction stick pattern, Cu Kα X-rays. Input: DFT lattice parameters and positions (GGA-PBE).
Neutral-atom scattering factors, no anomalous dispersion.

```
SrLiSO4
1.0
-2.7804 2.7804 3.8787
2.7804 -2.7804 3.8787
2.7804 2.7804 -3.8787
Sr Li S O
1 1 1 4
direct
0.0000 0.0000 0.0000 Sr
0.5000 0.5000 0.0000 Li
0.2500 0.7500 0.5000 S
0.2526 0.6661 0.1971 O
0.3339 0.5310 0.5865 O
0.4690 0.0555 0.8029 O
0.9445 0.7474 0.4135 O
```

Peak list (10 most intense, 2θ = 10–90°, most intense first)
- 2θ 19.64, I = 100
- 2θ 32.42, I = 54
- 2θ 38.00, I = 40
- 2θ 32.19, I = 17
- 2θ 38.39, I = 17
- 2θ 57.55, I = 16
- 2θ 50.95, I = 11
- 2θ 57.98, I = 10
- 2θ 39.89, I = 8
- 2θ 46.17, I = 7

***

8.
# LiTiS2O
Simulated X-ray diffraction stick pattern, Cu Kα X-rays. Input: DFT lattice parameters and positions (GGA-PBE).
Neutral-atom scattering factors, no anomalous dispersion.

```
LiTiS2O
1.0
1.6982 0.9804 8.4414
-1.6982 0.9804 8.4414
0.0000 -1.9609 8.4414
Li Ti S O
1 1 2 1
direct
0.0000 0.0000 0.0000 Li
0.8321 0.8321 0.8321 Ti
0.2222 0.2222 0.2222 S
0.4424 0.4424 0.4424 S
0.6674 0.6674 0.6674 O
```

Peak list (10 most intense, 2θ = 10–90°, most intense first)
- 2θ 10.48, I = 100
- 2θ 35.29, I = 63
- 2θ 54.00, I = 20
- 2θ 41.93, I = 19
- 2θ 31.22, I = 16
- 2θ 47.37, I = 14
- 2θ 56.68, I = 14
- 2θ 66.17, I = 8
- 2θ 39.49, I = 8
- 2θ 55.17, I = 7

***

9.
# LiY2Ti2S2O5
Simulated X-ray diffraction stick pattern, Cu Kα X-rays. Input: DFT lattice parameters and positions (GGA-PBE).
Neutral-atom scattering factors, no anomalous dispersion.

```
LiY2Ti2S2O5
1.0
-1.9313 1.9778 11.1603
1.9313 -1.9778 11.1603
1.9313 1.9778 -11.1603
Li Y Ti S O
1 2 2 2 5
direct
0.0000 0.0000 0.0000 Li
0.1648 0.6648 0.5000 Y
0.8352 0.3352 0.5000 Y
0.4145 0.9145 0.5000 Ti
0.5855 0.0855 0.5000 Ti
0.2952 0.7952 0.5000 S
0.7048 0.2048 0.5000 S
0.0917 0.0917 0.0000 O
0.3970 0.3970 0.0000 O
0.5000 0.0000 0.5000 O
0.6030 0.6030 0.0000 O
0.9083 0.9083 0.0000 O
```

Peak list (10 most intense, 2θ = 10–90°, most intense first)
- 2θ 32.40, I = 100
- 2θ 15.88, I = 84
- 2θ 25.99, I = 53
- 2θ 36.20, I = 47
- 2θ 36.54, I = 47
- 2θ 45.88, I = 39
- 2θ 25.50, I = 39
- 2θ 47.05, I = 36
- 2θ 59.99, I = 35
- 2θ 43.05, I = 34

***

10.
# Li3Y4Ti4S4O10
Simulated X-ray diffraction stick pattern, Cu Kα X-rays. Input: DFT lattice parameters and positions (GGA-PBE).
Neutral-atom scattering factors, no anomalous dispersion.

```
Li3Y4Ti4S4O10
1.0
2.8105 -10.9732 0.0000
2.8105 10.9732 0.0000
-0.0042 0.0000 5.6205
Li Y Ti S O
3 4 4 4 10
direct
0.0000 0.0000 0.0000 Li
0.0000 0.0000 0.5000 Li
0.5000 0.5000 0.0000 Li
0.0858 0.4121 0.7512 Y
0.4121 0.0858 0.7512 Y
0.5879 0.9142 0.2488 Y
0.9142 0.5879 0.2488 Y
0.1645 0.3425 0.2537 Ti
0.3425 0.1645 0.2537 Ti
0.6575 0.8355 0.7463 Ti
0.8355 0.6575 0.7463 Ti
0.0409 0.4512 0.2480 S
0.4512 0.0409 0.2480 S
0.5488 0.9591 0.7520 S
0.9591 0.5488 0.7520 S
0.0940 0.9060 0.5000 O
0.0953 0.9047 0.0000 O
0.2423 0.2423 0.2421 O
0.3993 0.6007 0.5000 O
0.4058 0.5942 0.0000 O
0.5942 0.4058 0.0000 O
0.6007 0.3993 0.5000 O
0.7577 0.7577 0.7579 O
0.9047 0.0953 0.0000 O
0.9060 0.0940 0.5000 O
```

Peak list (10 most intense, 2θ = 10–90°, most intense first)
- 2θ 31.84, I = 100
- 2θ 16.15, I = 88
- 2θ 36.50, I = 86
- 2θ 25.51, I = 83
- 2θ 45.65, I = 79
- 2θ 43.54, I = 68
- 2θ 64.92, I = 39
- 2θ 59.81, I = 38
- 2θ 40.48, I = 33
- 2θ 32.90, I = 29

***

11.
# LiTmU2S3O2
Simulated X-ray diffraction stick pattern, Cu Kα X-rays. Input: DFT lattice parameters and positions (GGA-PBE).
Neutral-atom scattering factors, no anomalous dispersion.

```
LiTmU2S3O2
1.0
2.6922 -2.6924 0.0000
2.6922 2.6924 0.0000
-0.0007 0.0000 10.6006
Li Tm U S O
1 1 2 3 2
direct
0.0000 0.0000 0.0000 Li
0.9977 0.9977 0.4992 Tm
0.4991 0.4991 0.1487 U
0.4995 0.4995 0.8516 U
0.4978 0.4978 0.4979 S
0.9990 0.9990 0.2470 S
0.9992 0.9992 0.7517 S
0.9995 0.4997 0.9997 O
0.4997 0.9995 0.9997 O
```

Peak list (10 most intense, 2θ = 10–90°, most intense first)
- 2θ 24.85, I = 100
- 2θ 33.28, I = 73
- 2θ 42.20, I = 69
- 2θ 41.52, I = 57
- 2θ 25.20, I = 54
- 2θ 47.78, I = 32
- 2θ 65.12, I = 31
- 2θ 54.77, I = 27
- 2θ 54.59, I = 25
- 2θ 34.63, I = 24